Record 1
# BaLiSn3
Calculated powder X-ray diffraction pattern, Cu Kα X-rays. Input: a GGA-PBE-relaxed structure.

Crystal structure
a b c (Å): 4.771 5.189 11.801
angles (deg): 90.00 90.00 90.00
Space group Imm2 (No. 44)
One atom of each set of equivalent atoms:
1 Ba 0.000 0.000 0.000 (multiplicity 2)
2 Li 0.000 0.000 0.636 (multiplicity 2)
3 Sn 0.000 0.000 0.402 (multiplicity 2)
4 Sn 0.000 0.500 0.259 (multiplicity 2)
5 Sn 0.000 0.500 0.745 (multiplicity 2)

Main lines, low angle first (5 to 70 degrees two-theta):
2θ/deg	I_rel	(hkl)
15.0	12	0 0 2
28.5	10	0 1 3
29.4	15	1 0 3
29.6	100	1 1 2
30.3	10	0 0 4
34.6	23	0 2 0
37.7	18	2 0 0
39.9	13	1 1 4
42.1	10	0 1 5
52.1	15	2 2 0
58.9	17	1 3 2
63.1	12	3 1 2

---

Record 2
# PrSn4
Calculated powder X-ray diffraction pattern, Cu Kα X-rays. Input: a GGA-PBE-relaxed structure.

Crystal structure
a b c (Å): 4.695 6.585 18.113
angles (deg): 90.00 90.00 90.00
Space group Imma (No. 74)
One atom of each set of equivalent atoms:
1 Pr 0.000 0.250 0.094 (multiplicity 4)
2 Sn 0.000 0.000 0.500 (multiplicity 4)
3 Sn 0.000 0.014 0.694 (multiplicity 8)
4 Sn 0.000 0.250 0.903 (multiplicity 4)

Main lines, low angle first (5 to 70 degrees two-theta):
2θ/deg	I_rel	(hkl)
31.2	97	1 0 5
33.6	100	1 2 1
38.3	29	2 0 0
40.5	29	0 2 6
50.4	12	0 0 10
51.9	15	2 2 4
57.0	29	2 2 6
64.9	12	3 0 5
65.0	11	2 0 10
65.4	23	1 4 5
66.3	11	3 2 1
66.5	17	1 2 11

---

Record 3
# GaCu2AsO6
Calculated powder X-ray diffraction pattern, Cu Kα X-rays. Input: a GGA-PBE-relaxed structure.

Crystal structure
a b c (Å): 9.705 8.788 5.156
angles (deg): 90.00 97.45 90.00
Space group C2/c (No. 15)
One atom of each set of equivalent atoms:
1 Ga 0.000 0.089 0.250 (multiplicity 4)
2 Cu 0.183 0.409 0.298 (multiplicity 8)
3 As 0.000 0.261 0.750 (multiplicity 4)
4 O 0.102 0.242 0.077 (multiplicity 8)
5 O 0.106 0.090 0.621 (multiplicity 8)
6 O 0.122 0.398 0.640 (multiplicity 8)

Main lines, low angle first (5 to 70 degrees two-theta):
2θ/deg	I_rel	(hkl)
18.4	30	2 0 0
27.5	29	2 2 0
29.6	90	3 1 0
31.3	39	2 2 -1
32.6	28	3 1 -1
34.0	69	2 2 1
35.1	59	0 0 2
36.0	100	1 3 -1
43.5	28	3 1 -2
58.2	30	5 3 -1
62.4	39	5 3 1
62.7	40	1 3 -3